Starting from DFT lattice parameters and positions (GGA-PBE), the powder diffraction line list of Tm3Si2Ag4Ge2 was calculated for Cu Kα (λ = 1.5418 Å).
No peak broadening, texture or thermal motion is included.

Cell lengths 4.251, 7.047, 14.307 Å; angles 90.00, 90.00, 90.00 degrees
Space group Immm (No. 71)
Inequivalent atoms, fractional coordinates:
Tm  0.000  0.000  0.000 [2 per cell]
Tm  0.000  0.500  0.125 [4 per cell]
Si  0.000  0.000  0.216 [4 per cell]
Ag  0.000  0.301  0.327 [8 per cell]
Ge  0.000  0.187  0.500 [4 per cell]

Main lines, in order of rising 2θ (5° ≤ 2θ ≤ 70°):
27.5°, I = 23
33.6°, I = 100
33.8°, I = 25
35.2°, I = 79
37.7°, I = 21
42.5°, I = 37
42.9°, I = 41
62.0°, I = 27

=====

Starting from DFT lattice parameters and positions (GGA-PBE), the powder diffraction line list of Ag2Sn2Ge was calculated for Cu Kα (λ = 1.5418 Å).
No peak broadening, texture or thermal motion is included.

Cell lengths 4.520, 8.717, 12.318 Å; angles 90.00, 90.00, 90.00 degrees
Space group Cmcm (No. 63)
Inequivalent atoms, fractional coordinates:
Ag  0.000  0.198  0.135 [8 per cell]
Sn  0.000  0.121  0.594 [8 per cell]
Ge  0.000  0.491  0.250 [4 per cell]

Main lines, in order of rising 2θ (5° ≤ 2θ ≤ 70°):
22.2°, I = 34
26.5°, I = 26
29.0°, I = 29
35.7°, I = 19
36.8°, I = 100
37.5°, I = 20
39.9°, I = 37
43.1°, I = 47

=====

Starting from DFT lattice parameters and positions (GGA-PBE), the powder diffraction line list of Ag2GeTe3 was calculated for Cu Kα (λ = 1.5418 Å).
No peak broadening, texture or thermal motion is included.

Cell lengths 7.694, 13.652, 7.730 Å; angles 90.00, 107.89, 90.00 degrees
Space group Cc (No. 9)
Inequivalent atoms, fractional coordinates:
Ag  0.000  0.090  0.000 [4 per cell]
Ag  0.497  0.242  0.002 [4 per cell]
Ge  0.470  0.081  0.475 [4 per cell]
Te  0.109  0.423  0.348 [4 per cell]
Te  0.113  0.085  0.380 [4 per cell]
Te  0.115  0.262  0.878 [4 per cell]

Main lines, in order of rising 2θ (5° ≤ 2θ ≤ 70°):
24.2°, I = 100
24.3°, I = 37
39.6°, I = 18
39.7°, I = 17
40.2°, I = 33
40.4°, I = 34
47.0°, I = 32
48.1°, I = 16

=====

Starting from DFT lattice parameters and positions (GGA-PBE), the powder diffraction line list of AgGe2Te was calculated for Cu Kα (λ = 1.5418 Å).
No peak broadening, texture or thermal motion is included.

Cell lengths 7.067, 7.067, 7.067 Å; angles 90.00, 90.00, 90.00 degrees
Space group F-43m (No. 216)
Inequivalent atoms, fractional coordinates:
Ag  0.000  0.000  0.000 [4 per cell]
Ge  0.000  0.000  0.500 [4 per cell]
Ge  0.250  0.250  0.250 [4 per cell]
Te  0.250  0.250  0.750 [4 per cell]

Main lines, in order of rising 2θ (5° ≤ 2θ ≤ 70°):
21.8°, I = 6
35.9°, I = 100
42.4°, I = 3
51.7°, I = 17
56.8°, I = 1
64.6°, I = 35
69.1°, I = 1

=====

Starting from DFT lattice parameters and positions (GGA-PBE), the powder diffraction line list of YAgGe was calculated for Cu Kα (λ = 1.5418 Å).
No peak broadening, texture or thermal motion is included.

Cell lengths 7.1603, 7.1603, 4.2345 Å; angles 90.00, 90.00, 120.00 degrees
Space group P-62m (No. 189)
Inequivalent atoms, fractional coordinates:
Y  0.0000  0.5836  0.0000 [3 per cell]
Ag  0.0000  0.2500  0.5000 [3 per cell]
Ge  0.0000  0.0000  0.0000 [1 per cell]
Ge  0.3333  0.6667  0.5000 [2 per cell]

Main lines, in order of rising 2θ (5° ≤ 2θ ≤ 70°):
32.8°, I = 100
35.9°, I = 95
38.4°, I = 57
42.7°, I = 34
43.8°, I = 25
44.2°, I = 34
58.8°, I = 31
69.7°, I = 28

=====

Starting from DFT lattice parameters and positions (GGA-PBE), the powder diffraction line list of Zr3Ag2Ge2 was calculated for Cu Kα (λ = 1.5418 Å).
No peak broadening, texture or thermal motion is included.

Cell lengths 4.6911, 4.6911, 23.2646 Å; angles 90.00, 90.00, 120.00 degrees
Space group R3m (No. 160, hexagonal axes)
Inequivalent atoms, fractional coordinates:
Zr  0.0000  0.0000  0.0000 [3 per cell]
Zr  0.0000  0.0000  0.2473 [3 per cell]
Zr  0.0000  0.0000  0.7521 [3 per cell]
Ag  0.0000  0.0000  0.3859 [3 per cell]
Ag  0.0000  0.0000  0.8698 [3 per cell]
Ge  0.0000  0.0000  0.1261 [3 per cell]
Ge  0.0000  0.0000  0.6254 [3 per cell]

Main lines, in order of rising 2θ (5° ≤ 2θ ≤ 70°):
23.2°, I = 11
29.2°, I = 11
38.1°, I = 96
38.4°, I = 100
55.2°, I = 32
68.5°, I = 13
69.2°, I = 31
69.4°, I = 16

=====

Starting from DFT lattice parameters and positions (GGA-PBE), the powder diffraction line list of Ag3H11 was calculated for Cu Kα (λ = 1.5418 Å).
No peak broadening, texture or thermal motion is included.

Cell lengths 9.953, 4.342, 6.384 Å; angles 90.00, 110.35, 90.00 degrees
Space group Cm (No. 8)
Inequivalent atoms, fractional coordinates:
Ag  0.000  0.000  0.000 [2 per cell]
Ag  0.147  0.500  0.859 [2 per cell]
Ag  0.314  0.000  0.807 [2 per cell]
H  0.024  0.412  0.507 [4 per cell]
H  0.028  0.500  0.191 [2 per cell]
H  0.031  0.268  0.222 [4 per cell]
H  0.148  0.000  0.894 [2 per cell]
H  0.290  0.239  0.333 [4 per cell]
H  0.307  0.267  0.455 [4 per cell]
H  0.319  0.500  0.785 [2 per cell]

Main lines, in order of rising 2θ (5° ≤ 2θ ≤ 70°):
14.8°, I = 100
34.4°, I = 32
34.9°, I = 17
35.5°, I = 31
39.6°, I = 11
42.6°, I = 13
44.4°, I = 14
48.0°, I = 11

=====

Starting from DFT lattice parameters and positions (GGA-PBE), the powder diffraction line list of AgH was calculated for Cu Kα (λ = 1.5418 Å).
No peak broadening, texture or thermal motion is included.

Cell lengths 4.354, 4.354, 4.354 Å; angles 90.00, 90.00, 90.00 degrees
Space group Fm-3m (No. 225)
Inequivalent atoms, fractional coordinates:
Ag  0.000  0.000  0.000 [4 per cell]
H  0.000  0.000  0.500 [4 per cell]

Main lines, in order of rising 2θ (5° ≤ 2θ ≤ 70°):
35.7°, I = 100
41.5°, I = 51
60.1°, I = 32

=====

Starting from DFT lattice parameters and positions (GGA-PBE), the powder diffraction line list of AgH was calculated for Cu Kα (λ = 1.5418 Å).
No peak broadening, texture or thermal motion is included.

Cell lengths 4.483, 4.483, 4.483 Å; angles 90.00, 90.00, 90.00 degrees
Space group F-43m (No. 216)
Inequivalent atoms, fractional coordinates:
Ag  0.000  0.000  0.000 [4 per cell]
H  0.250  0.250  0.750 [4 per cell]

Main lines, in order of rising 2θ (5° ≤ 2θ ≤ 70°):
34.7°, I = 100
40.2°, I = 48
58.2°, I = 32
69.6°, I = 36

=====

Starting from DFT lattice parameters and positions (GGA-PBE), the powder diffraction line list of AgH6IrPd was calculated for Cu Kα (λ = 1.5418 Å).
No peak broadening, texture or thermal motion is included.

Cell lengths 6.443, 6.443, 6.443 Å; angles 90.00, 90.00, 90.00 degrees
Space group F-43m (No. 216)
Inequivalent atoms, fractional coordinates:
Ag  0.000  0.000  0.000 [4 per cell]
H  0.000  0.000  0.284 [24 per cell]
Ir  0.250  0.250  0.750 [4 per cell]
Pd  0.250  0.250  0.250 [4 per cell]

Main lines, in order of rising 2θ (5° ≤ 2θ ≤ 70°):
23.9°, I = 28
27.7°, I = 25
39.6°, I = 100
46.8°, I = 14
49.0°, I = 8
57.2°, I = 17
62.9°, I = 6
64.7°, I = 10

=====

Starting from DFT lattice parameters and positions (GGA-PBE), the powder diffraction line list of Sr2AgH6Ir was calculated for Cu Kα (λ = 1.5418 Å).
No peak broadening, texture or thermal motion is included.

Cell lengths 6.714, 5.522, 6.746 Å; angles 90.00, 110.30, 90.00 degrees
Space group P2_1 (No. 4)
Inequivalent atoms, fractional coordinates:
Sr  0.120  0.000  0.372 [2 per cell]
Sr  0.372  0.500  0.119 [2 per cell]
Ag  0.376  0.499  0.624 [2 per cell]
H  0.001  0.249  0.000 [2 per cell]
H  0.102  0.500  0.347 [2 per cell]
H  0.232  0.227  0.768 [2 per cell]
H  0.233  0.773  0.768 [2 per cell]
H  0.347  0.000  0.101 [2 per cell]
H  0.500  0.248  0.501 [2 per cell]
Ir  0.122  0.000  0.878 [2 per cell]

Main lines, in order of rising 2θ (5° ≤ 2θ ≤ 70°):
32.4°, I = 100
32.6°, I = 98
32.7°, I = 97
46.5°, I = 38
47.3°, I = 18
57.9°, I = 38
58.1°, I = 37
58.5°, I = 18

=====

Starting from DFT lattice parameters and positions (GGA-PBE), the powder diffraction line list of AgMoH4S4N was calculated for Cu Kα (λ = 1.5418 Å).
No peak broadening, texture or thermal motion is included.

Cell lengths 7.990, 7.990, 5.820 Å; angles 90.00, 90.00, 90.00 degrees
Space group I-4 (No. 82)
Inequivalent atoms, fractional coordinates:
Ag  0.000  0.000  0.000 [2 per cell]
Mo  0.000  0.000  0.500 [2 per cell]
H  0.034  0.602  0.351 [8 per cell]
S  0.119  0.202  0.707 [8 per cell]
N  0.000  0.500  0.250 [2 per cell]

Main lines, in order of rising 2θ (5° ≤ 2θ ≤ 70°):
15.7°, I = 100
22.3°, I = 29
29.3°, I = 21
31.7°, I = 18
34.7°, I = 25
35.5°, I = 15
38.3°, I = 25
47.7°, I = 34